No. 1
# Li6Co2OF11
Computed powder X-ray diffraction pattern, λ = 1.5418 Å (Cu Kα). Input: a structure optimized by DFT (PBE+U).
Intensities are scaled so that the largest is 100.

Largest 8 diffraction maxima, sorted by position, 2θ = 10–80°:
| 2θ/deg | d_spacing | I/Imax |
| --- | --- | --- |
| 10.8 | 8.206 | 34 |
| 18.9 | 4.686 | 83 |
| 19.9 | 4.465 | 94 |
| 21.0 | 4.221 | 100 |
| 21.7 | 4.103 | 46 |
| 24.2 | 3.679 | 33 |
| 25.3 | 3.514 | 39 |
| 40.4 | 2.233 | 84 |

Crystal structure
a = 5.127 Å, b = 5.452 Å, c = 8.696 Å
α = 106.84°, β = 90.28°, γ = 117.98°
Space group P1 (No. 1)
Inequivalent atoms, fractional coordinates:
Li  0.000  0.000  0.000 x1
Li  0.064  0.150  0.353 x1
Li  0.301  0.532  0.755 x1
Li  0.607  0.151  0.869 x1
Li  0.745  0.522  0.268 x1
Li  0.843  0.680  0.624 x1
Co  0.320  0.622  0.113 x1
Co  0.537  0.055  0.509 x1
O  0.302  0.851  0.321 x1
F  0.270  0.820  0.982 x1
F  0.292  0.856  0.642 x1
F  0.320  0.339  0.210 x1
F  0.331  0.337  0.914 x1
F  0.360  0.305  0.545 x1
F  0.721  0.840  0.812 x1
F  0.758  0.826  0.157 x1
F  0.764  0.850  0.466 x1
F  0.821  0.332  0.703 x1
F  0.823  0.340  0.414 x1
F  0.887  0.369  0.078 x1

***

No. 2
# LiCo6O2F10
Computed powder X-ray diffraction pattern, λ = 1.5418 Å (Cu Kα). Input: a structure optimized by DFT (PBE+U).
Intensities are scaled so that the largest is 100.

Largest 8 diffraction maxima, sorted by position, 2θ = 10–80°:
| 2θ/deg | d_spacing | I/Imax |
| --- | --- | --- |
| 25.3 | 3.519 | 100 |
| 26.7 | 3.341 | 87 |
| 34.3 | 2.615 | 51 |
| 34.5 | 2.600 | 52 |
| 38.8 | 2.323 | 16 |
| 50.7 | 1.802 | 52 |
| 52.0 | 1.759 | 49 |
| 59.8 | 1.547 | 17 |

Crystal structure
a = 4.844 Å, b = 4.861 Å, c = 9.280 Å
α = 90.31°, β = 90.43°, γ = 92.97°
Space group P1 (No. 1)
Inequivalent atoms, fractional coordinates:
Li  0.000  0.000  0.000 x1
Co  0.008  0.512  0.355 x1
Co  0.043  0.540  0.689 x1
Co  0.501  0.014  0.847 x1
Co  0.503  0.022  0.182 x1
Co  0.510  0.008  0.528 x1
Co  0.952  0.486  0.017 x1
O  0.340  0.829  0.698 x1
O  0.667  0.190  0.008 x1
F  0.156  0.273  0.179 x1
F  0.174  0.280  0.863 x1
F  0.203  0.319  0.521 x1
F  0.301  0.783  0.011 x1
F  0.330  0.800  0.347 x1
F  0.686  0.226  0.356 x1
F  0.707  0.240  0.697 x1
F  0.828  0.741  0.857 x1
F  0.830  0.729  0.181 x1
F  0.839  0.730  0.520 x1

***

No. 3
# Li4Co2OF7
Computed powder X-ray diffraction pattern, λ = 1.5418 Å (Cu Kα). Input: a structure optimized by DFT (PBE+U).
Intensities are scaled so that the largest is 100.

Largest 8 diffraction maxima, sorted by position, 2θ = 10–80°:
| 2θ/deg | d_spacing | I/Imax |
| --- | --- | --- |
| 18.2 | 4.872 | 96 |
| 18.4 | 4.830 | 100 |
| 20.9 | 4.248 | 49 |
| 30.3 | 2.954 | 26 |
| 35.0 | 2.561 | 83 |
| 42.6 | 2.124 | 43 |
| 42.9 | 2.110 | 81 |
| 61.8 | 1.502 | 25 |

Crystal structure
a = 10.304 Å, b = 6.029 Å, c = 10.394 Å
α = 90.00°, β = 110.37°, γ = 90.00°
Space group Cc (No. 9)
Inequivalent atoms, fractional coordinates:
Li  0.000  0.246  0.000 x4
Li  0.072  0.250  0.686 x4
Li  0.144  0.249  0.374 x4
Li  0.317  0.250  0.936 x4
Co  0.326  0.494  0.191 x4
Co  0.332  0.019  0.198 x4
O  0.430  0.238  0.295 x4
F  0.200  0.016  0.802 x4
F  0.200  0.241  0.059 x4
F  0.201  0.485  0.804 x4
F  0.213  0.237  0.579 x4
F  0.437  0.009  0.067 x4
F  0.437  0.482  0.065 x4
F  0.440  0.244  0.811 x4

***

No. 4
# LiCo6O2F10
Computed powder X-ray diffraction pattern, λ = 1.5418 Å (Cu Kα). Input: a structure optimized by DFT (PBE+U).
Intensities are scaled so that the largest is 100.

Largest 8 diffraction maxima, sorted by position, 2θ = 10–80°:
| 2θ/deg | d_spacing | I/Imax |
| --- | --- | --- |
| 26.3 | 3.393 | 81 |
| 26.5 | 3.365 | 100 |
| 32.2 | 2.782 | 28 |
| 32.3 | 2.768 | 27 |
| 33.7 | 2.660 | 45 |
| 51.5 | 1.773 | 29 |
| 54.5 | 1.682 | 19 |
| 55.7 | 1.650 | 16 |

Crystal structure
a = 4.762 Å, b = 4.805 Å, c = 9.921 Å
α = 87.26°, β = 87.50°, γ = 89.40°
Space group P1 (No. 1)
Inequivalent atoms, fractional coordinates:
Li  0.000  0.000  0.000 x1
Co  0.203  0.183  0.495 x1
Co  0.249  0.226  0.177 x1
Co  0.261  0.234  0.803 x1
Co  0.644  0.626  0.966 x1
Co  0.722  0.699  0.642 x1
Co  0.746  0.723  0.342 x1
O  0.543  0.520  0.797 x1
O  0.912  0.886  0.506 x1
F  0.027  0.394  0.653 x1
F  0.029  0.401  0.998 x1
F  0.033  0.407  0.331 x1
F  0.419  0.004  0.652 x1
F  0.421  0.009  0.997 x1
F  0.428  0.011  0.331 x1
F  0.519  0.496  0.493 x1
F  0.541  0.522  0.160 x1
F  0.939  0.918  0.830 x1
F  0.948  0.928  0.178 x1

***

No. 5
# Li4Co2OF7
Computed powder X-ray diffraction pattern, λ = 1.5418 Å (Cu Kα). Input: a structure optimized by DFT (PBE+U).
Intensities are scaled so that the largest is 100.

Largest 8 diffraction maxima, sorted by position, 2θ = 10–80°:
| 2θ/deg | d_spacing | I/Imax |
| --- | --- | --- |
| 18.1 | 4.892 | 100 |
| 20.8 | 4.261 | 25 |
| 29.9 | 2.987 | 15 |
| 35.6 | 2.522 | 31 |
| 42.4 | 2.131 | 22 |
| 43.1 | 2.097 | 39 |
| 62.0 | 1.497 | 12 |
| 62.2 | 1.493 | 18 |

Crystal structure
a = 10.385 Å, b = 5.888 Å, c = 5.975 Å
α = 90.00°, β = 124.86°, γ = 90.00°
Space group Cm (No. 8)
Inequivalent atoms, fractional coordinates:
Li  0.000  0.000  0.000 x2
Li  0.003  0.000  0.514 x2
Li  0.115  0.500  0.380 x2
Li  0.377  0.000  0.625 x2
Co  0.250  0.275  0.992 x4
O  0.255  0.500  0.777 x2
F  0.016  0.240  0.775 x4
F  0.245  0.000  0.762 x2
F  0.248  0.000  0.213 x2
F  0.257  0.500  0.264 x2
F  0.486  0.267  0.248 x4

***

No. 6
# Li4Co7O2F14
Computed powder X-ray diffraction pattern, λ = 1.5418 Å (Cu Kα). Input: a structure optimized by DFT (PBE+U).
Intensities are scaled so that the largest is 100.

Largest 8 diffraction maxima, sorted by position, 2θ = 10–80°:
| 2θ/deg | d_spacing | I/Imax |
| --- | --- | --- |
| 17.3 | 5.112 | 20 |
| 17.8 | 4.982 | 23 |
| 17.9 | 4.944 | 100 |
| 34.3 | 2.614 | 25 |
| 41.5 | 2.178 | 35 |
| 41.7 | 2.164 | 34 |
| 42.1 | 2.146 | 34 |
| 59.7 | 1.548 | 21 |

Crystal structure
a = 6.056 Å, b = 6.192 Å, c = 10.466 Å
α = 73.04°, β = 89.13°, γ = 60.83°
Space group P-1 (No. 2)
Inequivalent atoms, fractional coordinates:
Li  0.030  0.424  0.188 x2
Li  0.462  0.594  0.321 x2
Co  0.000  0.000  0.000 x1
Co  0.000  0.000  0.500 x1
Co  0.000  0.500  0.500 x1
Co  0.259  0.008  0.754 x2
Co  0.500  0.000  0.000 x1
Co  0.500  0.500  0.000 x1
O  0.162  0.183  0.890 x2
F  0.094  0.264  0.385 x2
F  0.119  0.751  0.377 x2
F  0.147  0.736  0.879 x2
F  0.335  0.786  0.631 x2
F  0.342  0.269  0.628 x2
F  0.372  0.270  0.122 x2
F  0.383  0.732  0.122 x2